# CsSnF3
Calculated powder diffractogram, Cu Kα (weighted mean of Kα1 and Kα2). Input: a GGA-PBE-relaxed structure.
Kinematic intensities with the Lorentz-polarization factor, no thermal factor.

Main lines, sorted by position (5° ≤ 2θ ≤ 70°):
2θ (°), d (Å), I/Imax
22.85, 3.892, 36.1
23.03, 3.862, 100.0
24.51, 3.631, 28.4
26.71, 3.337, 31.6
27.34, 3.262, 22.9
27.46, 3.248, 50.6
30.88, 2.896, 68.6
32.50, 2.755, 19.0
37.04, 2.427, 25.4
44.56, 2.033, 15.2
45.18, 2.007, 15.9
46.03, 1.972, 14.6

Crystal structure
```
CsSnF3
1.0
5.2651 -6.3236 0.0000
5.2651 6.3236 0.0000
-2.1888 0.0000 7.7139
Cs Sn F
4 4 12
direct
0.0534 0.9466 0.7500
0.3243 0.6757 0.2500
0.6757 0.3243 0.7500
0.9466 0.0534 0.2500
0.1889 0.4601 0.6806
0.4601 0.1889 0.1806
0.5399 0.8111 0.8194
0.8111 0.5399 0.3194
0.0170 0.7454 0.3922
0.0608 0.5929 0.8350
0.2546 0.9830 0.1078
0.2933 0.3538 0.8762
0.3538 0.2933 0.3762
0.4071 0.9392 0.6650
0.5929 0.0608 0.3350
0.6462 0.7067 0.6238
0.7067 0.6462 0.1238
0.7454 0.0170 0.8922
0.9392 0.4071 0.1650
0.9830 0.2546 0.6078
```